# 1
For BeRu3, DFT lattice parameters and positions (GGA-PBE) gives the computed powder diffractogram in this record (a wavelength of 1.5418 Å).
Peak positions follow from Bragg's law for the DFT cell and can differ from measured ones.

Most intense lines, 10° ≤ 2θ ≤ 90°, sorted by position:
2θ/deg, d_spacing, intensity
19.36, 4.586, 35
28.53, 3.128, 20
39.30, 2.293, 22
43.02, 2.103, 38
44.29, 2.045, 49
45.03, 2.013, 100

Cell and atoms:
abc: 5.369 5.369 4.205
angles: 90.00 90.00 121.35
Fractional coordinates of all 8 atoms:
Be (0.079, 0.921, 0.750)
Be (0.921, 0.079, 0.250)
Ru (0.073, 0.398, 0.750)
Ru (0.398, 0.073, 0.250)
Ru (0.420, 0.580, 0.250)
Ru (0.580, 0.420, 0.750)
Ru (0.602, 0.927, 0.750)
Ru (0.927, 0.602, 0.250)

---

# 2
For Be3Ru, DFT lattice parameters and positions (GGA-PBE) gives the computed powder diffractogram in this record (a wavelength of 1.5418 Å).
Peak positions follow from Bragg's law for the DFT cell and can differ from measured ones.

Most intense lines, 10° ≤ 2θ ≤ 90°, sorted by position:
2θ/deg, d_spacing, intensity
25.19, 3.535, 100
29.29, 3.049, 35
39.01, 2.309, 63
46.85, 1.939, 27
47.17, 1.927, 28
66.87, 1.399, 25

Cell and atoms:
abc: 4.668 4.668 4.668
angles: 115.63 98.45 114.87
Fractional coordinates of all 8 atoms:
Be (0.253, 0.003, 0.250)
Be (0.267, 0.000, 0.767)
Be (0.267, 0.500, 0.267)
Be (0.733, 0.000, 0.233)
Be (0.733, 0.500, 0.733)
Be (0.747, 0.997, 0.750)
Ru (0.225, 0.475, 0.750)
Ru (0.775, 0.525, 0.250)

---

# 3
For Be10Ru3, DFT lattice parameters and positions (GGA-PBE) gives the computed powder diffractogram in this record (a wavelength of 1.5418 Å).
Peak positions follow from Bragg's law for the DFT cell and can differ from measured ones.

Most intense lines, 10° ≤ 2θ ≤ 90°, sorted by position:
2θ/deg, d_spacing, intensity
15.15, 5.848, 27
25.83, 3.450, 41
27.75, 3.215, 100
46.59, 1.949, 36
48.51, 1.877, 28
50.35, 1.812, 28

Cell and atoms:
abc: 6.877 6.877 6.693
angles: 106.62 106.62 109.96
Fractional coordinates of all 26 atoms:
Be (0.000, 0.000, 0.000)
Be (0.008, 0.638, 0.003)
Be (0.039, 0.039, 0.341)
Be (0.078, 0.739, 0.730)
Be (0.119, 0.349, 0.001)
Be (0.323, 0.639, 0.619)
Be (0.334, 0.679, 0.321)
Be (0.337, 0.983, 0.271)
Be (0.349, 0.119, 0.001)
Be (0.385, 0.385, 0.766)
Be (0.524, 0.524, 0.174)
Be (0.638, 0.008, 0.003)
Be (0.639, 0.323, 0.619)
Be (0.676, 0.962, 0.353)
Be (0.679, 0.334, 0.321)
Be (0.688, 0.688, 0.597)
Be (0.722, 0.722, 0.034)
Be (0.739, 0.078, 0.730)
Be (0.962, 0.676, 0.353)
Be (0.983, 0.337, 0.271)
Ru (0.001, 0.001, 0.656)
Ru (0.338, 0.338, 0.362)
Ru (0.356, 0.991, 0.622)
Ru (0.361, 0.714, 0.994)
Ru (0.714, 0.361, 0.994)
Ru (0.991, 0.356, 0.622)

---

# 4
For Be3Ru, DFT lattice parameters and positions (GGA-PBE) gives the computed powder diffractogram in this record (a wavelength of 1.5418 Å).
Peak positions follow from Bragg's law for the DFT cell and can differ from measured ones.

Most intense lines, 10° ≤ 2θ ≤ 90°, sorted by position:
2θ/deg, d_spacing, intensity
20.12, 4.414, 71
28.16, 3.169, 60
31.17, 2.870, 100
31.57, 2.834, 48
37.38, 2.406, 66
48.01, 1.895, 43

Cell and atoms:
abc: 3.696 4.553 4.414
angles: 90.00 90.00 90.00
Fractional coordinates of all 8 atoms:
Be (0.250, 0.005, 0.144)
Be (0.250, 0.495, 0.144)
Be (0.250, 0.750, 0.704)
Be (0.750, 0.250, 0.296)
Be (0.750, 0.505, 0.856)
Be (0.750, 0.995, 0.856)
Ru (0.250, 0.250, 0.624)
Ru (0.750, 0.750, 0.376)

---

# 5
For BeRu7, DFT lattice parameters and positions (GGA-PBE) gives the computed powder diffractogram in this record (a wavelength of 1.5418 Å).
Peak positions follow from Bragg's law for the DFT cell and can differ from measured ones.

Most intense lines, 10° ≤ 2θ ≤ 90°, sorted by position:
2θ/deg, d_spacing, intensity
20.31, 4.372, 11
41.30, 2.186, 100
48.06, 1.893, 48
70.32, 1.339, 30
84.95, 1.142, 36
89.70, 1.093, 11

Cell and atoms:
abc: 5.355 5.355 5.355
angles: 60.00 60.00 60.00
Fractional coordinates of all 8 atoms:
Be (0.000, 0.000, 0.000)
Ru (0.000, 0.000, 0.500)
Ru (0.000, 0.500, 0.000)
Ru (0.000, 0.500, 0.500)
Ru (0.500, 0.000, 0.000)
Ru (0.500, 0.000, 0.500)
Ru (0.500, 0.500, 0.000)
Ru (0.500, 0.500, 0.500)

---

# 6
For Ta2TiBe2Ru5, DFT lattice parameters and positions (GGA-PBE) gives the computed powder diffractogram in this record (a wavelength of 1.5418 Å).
Peak positions follow from Bragg's law for the DFT cell and can differ from measured ones.

Most intense lines, 10° ≤ 2θ ≤ 90°, sorted by position:
2θ/deg, d_spacing, intensity
35.92, 2.500, 100
39.89, 2.260, 94
41.10, 2.196, 28
42.15, 2.144, 93
71.55, 1.319, 30
73.70, 1.285, 30

Cell and atoms:
abc: 9.319 9.319 3.126
angles: 90.00 90.00 90.00
Fractional coordinates of all 20 atoms:
Ta (0.175, 0.325, 0.000)
Ta (0.325, 0.825, 0.000)
Ta (0.675, 0.175, 0.000)
Ta (0.825, 0.675, 0.000)
Ti (0.000, 0.000, 0.000)
Ti (0.500, 0.500, 0.000)
Be (0.123, 0.623, 0.000)
Be (0.377, 0.123, 0.000)
Be (0.623, 0.877, 0.000)
Be (0.877, 0.377, 0.000)
Ru (0.000, 0.500, 0.500)
Ru (0.073, 0.792, 0.500)
Ru (0.208, 0.073, 0.500)
Ru (0.292, 0.573, 0.500)
Ru (0.427, 0.292, 0.500)
Ru (0.500, 0.000, 0.500)
Ru (0.573, 0.708, 0.500)
Ru (0.708, 0.427, 0.500)
Ru (0.792, 0.927, 0.500)
Ru (0.927, 0.208, 0.500)

---

# 7
For BeTe3Ru, DFT lattice parameters and positions (GGA-PBE) gives the computed powder diffractogram in this record (a wavelength of 1.5418 Å).
Peak positions follow from Bragg's law for the DFT cell and can differ from measured ones.

Most intense lines, 10° ≤ 2θ ≤ 90°, sorted by position:
2θ/deg, d_spacing, intensity
17.04, 5.202, 100
29.75, 3.003, 53
34.48, 2.601, 82
38.70, 2.326, 51
49.56, 1.839, 58
83.02, 1.163, 26

Cell and atoms:
abc: 5.202 5.202 5.202
angles: 90.00 90.00 90.00
Fractional coordinates of all 5 atoms:
Be (0.000, 0.000, 0.000)
Te (0.000, 0.500, 0.500)
Te (0.500, 0.000, 0.500)
Te (0.500, 0.500, 0.000)
Ru (0.500, 0.500, 0.500)

---

# 8
For TmBeRu, DFT lattice parameters and positions (GGA-PBE) gives the computed powder diffractogram in this record (a wavelength of 1.5418 Å).
Peak positions follow from Bragg's law for the DFT cell and can differ from measured ones.

Most intense lines, 10° ≤ 2θ ≤ 90°, sorted by position:
2θ/deg, d_spacing, intensity
29.87, 2.992, 63
34.23, 2.620, 86
37.47, 2.400, 100
38.24, 2.353, 60
41.94, 2.154, 42
54.12, 1.695, 32

Cell and atoms:
abc: 6.335 6.335 4.800
angles: 100.93 100.93 31.12
Fractional coordinates of all 6 atoms:
Tm (0.106, 0.106, 0.308)
Tm (0.894, 0.894, 0.692)
Be (0.227, 0.227, 0.878)
Be (0.773, 0.773, 0.122)
Ru (0.401, 0.401, 0.195)
Ru (0.599, 0.599, 0.805)

---

# 9
For YBeRu2W, DFT lattice parameters and positions (GGA-PBE) gives the computed powder diffractogram in this record (a wavelength of 1.5418 Å).
Peak positions follow from Bragg's law for the DFT cell and can differ from measured ones.

Most intense lines, 10° ≤ 2θ ≤ 90°, sorted by position:
2θ/deg, d_spacing, intensity
19.72, 4.501, 66
27.42, 3.252, 100
38.26, 2.353, 69
43.40, 2.085, 35
47.71, 1.906, 44
56.60, 1.626, 44

Cell and atoms:
abc: 4.705 4.705 4.501
angles: 90.00 90.00 90.00
Fractional coordinates of all 5 atoms:
Y (0.000, 0.000, 0.000)
Be (0.500, 0.500, 0.000)
Ru (0.000, 0.500, 0.500)
Ru (0.500, 0.000, 0.500)
W (0.500, 0.500, 0.500)

---

# 10
For YBe2Ru2, DFT lattice parameters and positions (GGA-PBE) gives the computed powder diffractogram in this record (a wavelength of 1.5418 Å).
Peak positions follow from Bragg's law for the DFT cell and can differ from measured ones.

Most intense lines, 10° ≤ 2θ ≤ 90°, sorted by position:
2θ/deg, d_spacing, intensity
30.16, 2.963, 100
34.33, 2.612, 62
39.50, 2.281, 74
41.88, 2.157, 98
43.18, 2.095, 68
66.88, 1.399, 37

Cell and atoms:
abc: 6.626 6.626 3.146
angles: 90.00 90.00 90.00
Fractional coordinates of all 10 atoms:
Y (0.000, 0.000, 0.000)
Y (0.500, 0.500, 0.000)
Be (0.112, 0.388, 0.000)
Be (0.388, 0.888, 0.000)
Be (0.612, 0.112, 0.000)
Be (0.888, 0.612, 0.000)
Ru (0.162, 0.662, 0.500)
Ru (0.338, 0.162, 0.500)
Ru (0.662, 0.838, 0.500)
Ru (0.838, 0.338, 0.500)

---

# 11
For ZrBe2Ru, DFT lattice parameters and positions (GGA-PBE) gives the computed powder diffractogram in this record (a wavelength of 1.5418 Å).
Peak positions follow from Bragg's law for the DFT cell and can differ from measured ones.

Most intense lines, 10° ≤ 2θ ≤ 90°, sorted by position:
2θ/deg, d_spacing, intensity
27.04, 3.298, 100
28.86, 3.094, 85
39.96, 2.256, 89
44.41, 2.040, 65
45.61, 1.989, 60
53.83, 1.703, 58

Cell and atoms:
abc: 4.197 4.197 3.094
angles: 90.00 90.00 103.57
Fractional coordinates of all 4 atoms:
Zr (0.000, 0.000, 0.000)
Be (0.000, 0.500, 0.500)
Be (0.500, 0.000, 0.500)
Ru (0.500, 0.500, 0.000)

---

# 12
For BeS, DFT lattice parameters and positions (GGA-PBE) gives the computed powder diffractogram in this record (a wavelength of 1.5418 Å).
Peak positions follow from Bragg's law for the DFT cell and can differ from measured ones.

Most intense lines, 10° ≤ 2θ ≤ 90°, sorted by position:
2θ/deg, d_spacing, intensity
19.03, 4.663, 81
23.94, 3.718, 87
29.00, 3.079, 67
31.15, 2.871, 79
32.91, 2.722, 100
34.47, 2.602, 79

Cell and atoms:
abc: 6.158 6.310 6.922
angles: 90.00 90.00 90.00
Fractional coordinates of all 16 atoms:
Be (0.131, 0.066, 0.253)
Be (0.159, 0.608, 0.968)
Be (0.341, 0.392, 0.468)
Be (0.369, 0.934, 0.753)
Be (0.631, 0.434, 0.747)
Be (0.659, 0.892, 0.032)
Be (0.841, 0.108, 0.532)
Be (0.869, 0.566, 0.247)
S (0.168, 0.404, 0.209)
S (0.190, 0.109, 0.556)
S (0.310, 0.891, 0.056)
S (0.332, 0.596, 0.709)
S (0.668, 0.096, 0.791)
S (0.690, 0.391, 0.444)
S (0.810, 0.609, 0.944)
S (0.832, 0.904, 0.291)